Computed powder XRD pattern of CsLuTa6Br18 for Cu Ka, from a GGA-PBE-relaxed structure.
Kinematic intensities with the Lorentz-polarization factor, no thermal factor.

Cell and atoms:
a = 9.9020 Å, b = 9.9020 Å, c = 18.4848 Å
α = 90.00°, β = 90.00°, γ = 120.00°
Sites, in units of the cell vectors:
Cs: 0.3333 0.6667 0.2500
Cs: 0.6667 0.3333 0.7500
Lu: 0.3333 0.6667 0.7500
Lu: 0.6667 0.3333 0.2500
Ta: 0.0385 0.1858 0.9359
Ta: 0.0385 0.8527 0.5641
Ta: 0.1473 0.1858 0.5641
Ta: 0.1473 0.9615 0.9359
Ta: 0.1858 0.0385 0.4359
Ta: 0.1858 0.1473 0.0641
Ta: 0.8142 0.8527 0.9359
Ta: 0.8142 0.9615 0.5641
Ta: 0.8527 0.0385 0.0641
Ta: 0.8527 0.8142 0.4359
Ta: 0.9615 0.1473 0.4359
Ta: 0.9615 0.8142 0.0641
Br: 0.0469 0.2322 0.1594
Br: 0.0469 0.8147 0.3406
Br: 0.0882 0.4501 0.8377
Br: 0.0882 0.6381 0.6623
Br: 0.1388 0.4158 0.4989
Br: 0.1388 0.7230 0.0011
Br: 0.1853 0.2322 0.3406
Br: 0.1853 0.9531 0.1594
Br: 0.2322 0.0469 0.6594
Br: 0.2322 0.1853 0.8406
Br: 0.2770 0.4158 0.0011
Br: 0.2770 0.8612 0.4989
Br: 0.3619 0.4501 0.6623
Br: 0.3619 0.9118 0.8377
Br: 0.4158 0.1388 0.9989
Br: 0.4158 0.2770 0.5011
Br: 0.4501 0.0882 0.3377
Br: 0.4501 0.3619 0.1623
Br: 0.5499 0.6381 0.8377
Br: 0.5499 0.9118 0.6623
Br: 0.5842 0.7230 0.4989
Br: 0.5842 0.8612 0.0011
Br: 0.6381 0.0882 0.1623
Br: 0.6381 0.5499 0.3377
Br: 0.7230 0.1388 0.5011
Br: 0.7230 0.5842 0.9989
Br: 0.7678 0.8147 0.1594
Br: 0.7678 0.9531 0.3406
Br: 0.8147 0.0469 0.8406
Br: 0.8147 0.7678 0.6594
Br: 0.8612 0.2770 0.9989
Br: 0.8612 0.5842 0.5011
Br: 0.9118 0.3619 0.3377
Br: 0.9118 0.5499 0.1623
Br: 0.9531 0.1853 0.6594
Br: 0.9531 0.7678 0.8406

Peak list (8 most intense, 5 to 70 degrees two-theta, in order of falling intensity)
2theta, I/Imax, (hkl)
10.3, 1000, 1 0 0
14.1, 777, 1 0 2
33.8, 610, 2 1 4
40.4, 364, 2 1 6
31.2, 310, 2 1 3
9.6, 269, 0 0 2
36.9, 209, 2 1 5
48.9, 197, 5 -1 1